# Pr6C3S2Cl
Simulated XRD peak list, CuKα. Input: a DFT-relaxed cell (GGA-PBE, Alexandria).

Main lines, most intense first (10° ≤ 2θ ≤ 90°):
| 2θ (°) | I (rel.) |
| --- | --- |
| 31.8 | 100.0 |
| 27.8 | 78.0 |
| 46.6 | 37.1 |
| 44.5 | 27.7 |
| 26.2 | 22.4 |
| 54.2 | 19.4 |
| 57.5 | 17.6 |
| 34.5 | 15.4 |
| 62.8 | 13.0 |
| 55.1 | 12.3 |

Structure:
Lattice parameters (Å, degrees): 9.041 9.041 8.162 106.51 106.51 24.93
Atoms (fractional coordinates):
Pr 0.010 0.010 0.221
Pr 0.322 0.322 0.436
Pr 0.339 0.339 0.901
Pr 0.661 0.661 0.099
Pr 0.678 0.678 0.564
Pr 0.990 0.990 0.779
C 0.167 0.167 0.333
C 0.500 0.500 0.000
C 0.833 0.833 0.667
S 0.164 0.164 0.827
S 0.836 0.836 0.173
Cl 0.500 0.500 0.500